Theoretical powder XRD pattern of SrEu2Fe2O7 for Cu Kα, 1.54184 Å, from a cell relaxed with GGA+U.
No peak broadening, texture or thermal motion is included.

Structure:
```
data_SrEu2Fe2O7
_chemical_formula_sum 'Sr4 Eu8 Fe8 O28'
_symmetry_space_group_name_H-M 'C m c m'
_symmetry_Int_Tables_number 63
_symmetry_space_group_name_Hall '-C 2c 2'
_cell_length_a 20.0191
_cell_length_b 5.6228
_cell_length_c 5.5081
_cell_angle_alpha 90.00
_cell_angle_beta 90.00
_cell_angle_gamma 90.00
loop_
_atom_site_label
_atom_site_fract_x
_atom_site_fract_y
_atom_site_fract_z
_atom_site_occupancy
Sr1 0.0000 0.2434 0.2500 1
Eu1 0.1831 0.2282 0.2500 1
Fe1 0.0990 0.2547 0.7500 1
O1 0.0000 0.2984 0.7500 1
O2 0.0942 0.0000 0.0000 1
O3 0.1143 0.5000 0.0000 1
O4 0.2040 0.1918 0.7500 1
```

The 10 most intense peaks (10 to 80 degrees two-theta), sorted by position:
3.389 Å, intensity 17; 2.808 Å, intensity 100; 2.754 Å, intensity 25; 2.150 Å, intensity 8; 2.124 Å, intensity 9; 2.002 Å, intensity 9; 1.967 Å, intensity 27; 1.622 Å, intensity 15; 1.600 Å, intensity 14; 1.403 Å, intensity 8